No. 1
The following is a theoretical XRD peak list of La2Dy12Tm5. It was derived from DFT lattice parameters and positions (PBE), using Cu Kα.
Neutral-atom scattering factors, no anomalous dispersion.

Atomic structure:
```
19
Lattice="6.084 0.000 0.000 -0.865 8.823 0.000 -2.771 -0.585 11.311" Properties=species:S:1:pos:R:3 pbc="T T T"
La 0.636 3.017 0.308
La 1.812 5.221 11.002
Dy -2.100 1.654 8.000
Dy -1.841 7.342 6.884
Dy -1.297 4.866 9.191
Dy 1.405 0.508 2.663
Dy 0.863 3.772 3.858
Dy 1.552 6.227 1.526
Dy 0.895 2.011 9.785
Dy 1.585 4.466 7.453
Dy 1.042 7.731 8.647
Dy 3.745 3.372 2.119
Dy 4.289 0.896 4.427
Dy 4.548 6.584 3.310
Tm -1.818 4.119 5.655
Tm -2.065 8.051 10.417
Tm 1.079 1.261 6.204
Tm 1.368 6.978 5.106
Tm 4.512 0.187 0.893
```

Main lines, by angle (2θ from 10° to 80°):
2theta  I_rel
29.51  32
31.07  72
31.88  100
32.18  20
33.26  46
33.37  42
34.84  16
41.06  14
50.00  17
59.95  13

***

No. 2
The following is a theoretical XRD peak list of Ba5NCl4. It was derived from DFT lattice parameters and positions (PBE), using Cu Kα.
Neutral-atom scattering factors, no anomalous dispersion.

Atomic structure:
```
10
Lattice="-4.981 4.981 3.163 4.981 -4.981 3.163 4.981 4.981 -3.163" Properties=species:S:1:pos:R:3 pbc="T T T"
Ba 0.000 0.000 0.000
Ba 5.894 2.392 0.085
Ba 2.392 4.068 0.085
Ba 2.589 0.913 3.248
Ba -0.913 2.589 3.248
N 0.000 0.000 3.378
Cl 3.069 0.909 0.076
Cl 4.072 -1.912 3.239
Cl 0.909 6.893 0.076
Cl 1.912 4.072 3.239
```

Main lines, by angle (2θ from 10° to 80°):
2theta  I_rel
24.44  100
28.21  54
28.33  95
35.45  20
40.44  100
47.72  17
47.87  15
50.09  31
66.11  16
66.32  14

***

No. 3
The following is a theoretical XRD peak list of Sr4AcCd5. It was derived from DFT lattice parameters and positions (PBE), using Cu Kα.
Neutral-atom scattering factors, no anomalous dispersion.

Atomic structure:
```
10
Lattice="4.073 0.000 0.000 0.000 4.073 0.000 0.000 0.000 20.232" Properties=species:S:1:pos:R:3 pbc="T T T"
Sr 0.000 0.000 2.027
Sr 0.000 0.000 6.062
Sr 0.000 0.000 14.170
Sr 0.000 0.000 18.204
Ac 0.000 0.000 10.116
Cd 2.037 2.037 0.000
Cd 2.037 2.037 4.036
Cd 2.037 2.037 8.097
Cd 2.037 2.037 12.135
Cd 2.037 2.037 16.195
```

Main lines, by angle (2θ from 10° to 80°):
2theta  I_rel
31.05  50
31.16  100
44.48  19
44.79  10
55.31  38
55.51  19
64.97  12
73.53  8
73.58  8
74.04  8

***

No. 4
The following is a theoretical XRD peak list of Ce4Pr2H2Pb3. It was derived from DFT lattice parameters and positions (PBE), using Cu Kα.
Neutral-atom scattering factors, no anomalous dispersion.

Atomic structure:
```
11
Lattice="-2.368 2.368 13.376 2.368 -2.368 13.376 2.368 2.368 -13.376" Properties=species:S:1:pos:R:3 pbc="T T T"
Ce 2.368 0.000 2.246
Ce 2.368 0.000 11.130
Ce 0.000 2.368 2.246
Ce 0.000 2.368 11.130
Pr 0.000 0.000 5.368
Pr 0.000 0.000 21.385
H 0.000 0.000 2.873
H 0.000 0.000 23.880
Pb 0.000 0.000 8.698
Pb 0.000 0.000 13.376
Pb 0.000 0.000 18.054
```

Main lines, by angle (2θ from 10° to 80°):
2theta  I_rel
19.03  21
26.64  16
27.46  29
29.84  17
30.05  20
33.47  100
38.00  46
49.18  12
54.83  16
65.79  31